No. 1
# Cs3Ag2AuBr6
Theoretical PXRD pattern, a wavelength of 1.5418 Å. Input: a DFT-relaxed cell (PBE, Alexandria).

Largest 12 diffraction maxima, by angle, 5 to 70 degrees two-theta:
d [Å], I_rel
9.316, 51
7.203, 24
4.159, 71
3.911, 44
3.359, 30
3.104, 14
2.850, 100
2.401, 16
2.351, 45
2.079, 41
2.047, 19
1.680, 23

Crystal structure
Cell: 8.317 8.317 9.316 Å, 90.00 90.00 120.00°
Sites, in units of the cell vectors:
Cs 0.000 0.000 0.000
Cs 0.333 0.667 0.642
Cs 0.667 0.333 0.358
Ag 0.333 0.667 0.254
Ag 0.667 0.333 0.746
Au 0.000 0.000 0.500
Br 0.156 0.311 0.302
Br 0.156 0.844 0.302
Br 0.311 0.156 0.698
Br 0.689 0.844 0.302
Br 0.844 0.156 0.698
Br 0.844 0.689 0.698

---

No. 2
# InAg2AuBr6
Theoretical PXRD pattern, a wavelength of 1.5418 Å. Input: a DFT-relaxed cell (PBE, Alexandria).

Largest 12 diffraction maxima, by angle, 5 to 70 degrees two-theta:
d [Å], I_rel
6.799, 45
3.614, 25
3.418, 17
3.399, 23
3.191, 100
2.642, 19
2.483, 15
2.133, 19
2.087, 56
1.920, 17
1.837, 17
1.778, 17

Crystal structure
Cell: 7.228 7.228 7.975 Å, 63.07 89.97 60.00°
Sites, in units of the cell vectors:
In 0.000 0.000 0.000
Ag 0.268 0.464 0.803
Ag 0.671 0.659 0.012
Au 0.410 0.179 0.232
Br 0.067 0.538 0.247
Br 0.242 0.860 0.769
Br 0.394 0.821 0.247
Br 0.630 0.128 0.769
Br 0.784 0.148 0.247
Br 0.898 0.473 0.769

---

No. 3
# K3Ag2AuBr9
Theoretical PXRD pattern, a wavelength of 1.5418 Å. Input: a DFT-relaxed cell (PBE, Alexandria).

Largest 12 diffraction maxima, by angle, 5 to 70 degrees two-theta:
d [Å], I_rel
5.410, 100
3.826, 28
3.124, 23
2.705, 97
2.420, 53
2.209, 12
1.913, 68
1.803, 28
1.631, 9
1.562, 23
1.501, 13
1.353, 11

Crystal structure
Cell: 7.648 7.648 9.379 Å, 90.00 90.00 120.00°
Sites, in units of the cell vectors:
K 0.000 0.000 0.000
K 0.333 0.667 0.690
K 0.667 0.333 0.310
Ag 0.333 0.667 0.168
Ag 0.667 0.333 0.832
Au 0.000 0.000 0.500
Br 0.000 0.500 0.000
Br 0.165 0.329 0.336
Br 0.165 0.835 0.336
Br 0.329 0.165 0.664
Br 0.500 0.000 0.000
Br 0.500 0.500 0.000
Br 0.671 0.835 0.336
Br 0.835 0.165 0.664
Br 0.835 0.671 0.664

---

No. 4
# Na2AgAuBr6
Theoretical PXRD pattern, a wavelength of 1.5418 Å. Input: a DFT-relaxed cell (PBE, Alexandria).

Largest 12 diffraction maxima, by angle, 5 to 70 degrees two-theta:
d [Å], I_rel
5.704, 96
5.271, 98
5.175, 100
4.344, 57
3.669, 100
2.637, 39
2.606, 50
2.588, 36
2.426, 47
2.384, 40
2.246, 46
2.174, 38

Crystal structure
Cell: 7.091 7.397 7.561 Å, 71.31 62.07 67.56°
Sites, in units of the cell vectors:
Na 0.000 0.000 0.000
Na 0.439 0.523 0.478
Ag 0.133 0.212 0.407
Au 0.650 0.718 0.902
Br 0.305 0.604 0.114
Br 0.354 0.133 0.624
Br 0.546 0.916 0.167
Br 0.761 0.509 0.647
Br 0.897 0.317 0.201
Br 0.990 0.838 0.687